For KNa2Cd2In2, DFT lattice parameters and positions (GGA-PBE) gives the simulated powder XRD pattern in this record (Cu Kα, 1.54184 Å).

Most intense lines, 2θ = 10–90°, in order of falling intensity:
34.6°, d = 2.595 Å, I 100.0
19.6°, d = 4.536 Å, I 54.9
23.7°, d = 3.750 Å, I 36.9
40.0°, d = 2.255 Å, I 35.5
30.4°, d = 2.936 Å, I 34.5
20.0°, d = 4.434 Å, I 26.2

Crystal structure
Unit cell a=5.1881 b=5.1881 c=9.5709 alpha=106.02 beta=106.02 gamma=60.07
Sites, in units of the cell vectors:
K1 0.0000 0.0000 0.0000
Na1 0.1380 0.1380 0.4130
Na2 0.8620 0.8620 0.5870
Cd1 0.2521 0.2521 0.7560
Cd2 0.7479 0.7479 0.2440
In1 0.4345 0.4345 0.3033
In2 0.5655 0.5655 0.6967